Structure and simulated powder X-ray diffraction pattern of NaCaMgAlSi4O12 (a structure optimized by DFT (GGA-PBE); Cu Kα (λ = 1.5418 Å)).
No peak broadening, texture or thermal motion is included.

Largest 10 diffraction maxima, most intense first, 2θ from 10° to 90°:
h k l	2θ/deg	I/Imax
2 1 0	23.35	100
1 2 -1	26.41	88
2 0 -2	27.89	83
2 1 1	28.43	80
0 1 2	26.63	60
3 1 -1	32.53	53
1 2 0	24.62	44
1 1 -3	37.37	44
1 0 0	10.19	42
0 2 1	25.44	37

Structural model:
```
data_NaCaMgAlSi4O12
_space_group_name_H-M_alt 'P 1 c 1'
_space_group_IT_number 7
_space_group_name_Hall 'P -2yc'
_cell_length_a 8.9211
_cell_length_b 7.9558
_cell_length_c 7.5840
_cell_angle_alpha 90.00
_cell_angle_beta 103.34
_cell_angle_gamma 90.00
loop_
_atom_site_label
_atom_site_fract_x
_atom_site_fract_y
_atom_site_fract_z
Na1 0.0000 0.1894 0.0000
Ca1 0.1775 0.1661 0.6232
Mg1 0.7466 0.1304 0.2149
Al1 0.3775 0.1172 0.1061
Si1 0.4728 0.3680 0.4100
Si2 0.5226 0.2396 0.8165
Si3 0.7755 0.2237 0.6079
Si4 0.9821 0.4717 0.2809
O1 0.0974 0.4635 0.9540
O2 0.2023 0.0617 0.9561
O3 0.3494 0.2902 0.2426
O4 0.4203 0.0639 0.7454
O5 0.4275 0.3251 0.6007
O6 0.5175 0.4360 0.9030
O7 0.5543 0.1604 0.0381
O8 0.6461 0.2609 0.4197
O9 0.7048 0.2094 0.7876
O10 0.8674 0.0523 0.5907
O11 0.8975 0.3842 0.6414
O12 0.9233 0.2856 0.2461
```

Structure and simulated powder X-ray diffraction pattern of Tb2MgS4 (a structure optimized by DFT (GGA-PBE); Cu Kα (λ = 1.5418 Å)).
No peak broadening, texture or thermal motion is included.

Largest 10 diffraction maxima, most intense first, 2θ from 10° to 90°:
h k l	2θ/deg	I/Imax
0 2 3	25.09	100
0 2 1	15.72	86
1 3 2	34.78	82
1 3 1	32.58	65
1 1 1	25.41	51
1 1 2	28.13	48
1 1 5	42.92	45
2 0 0	47.80	42
0 6 3	48.43	39
1 5 2	45.56	25

Structural model:
```
data_Tb2MgS4
_space_group_name_H-M_alt 'C m c 21'
_space_group_IT_number 36
_space_group_name_Hall 'C 2c -2'
_cell_length_a 3.8061
_cell_length_b 12.5280
_cell_length_c 12.9186
_cell_angle_alpha 90.00
_cell_angle_beta 90.00
_cell_angle_gamma 90.00
loop_
_atom_site_label
_atom_site_fract_x
_atom_site_fract_y
_atom_site_fract_z
Tb1 0.0000 0.1185 0.0000
Tb2 0.0000 0.3625 0.2015
Mg1 0.0000 0.3741 0.8376
S1 0.0000 0.0106 0.7868
S2 0.0000 0.2618 0.3885
S3 0.0000 0.2898 0.6490
S4 0.0000 0.4628 0.0147
```

Structure and simulated powder X-ray diffraction pattern of Na6Sn2S7 (a structure optimized by DFT (GGA-PBE); Cu Kα (λ = 1.5418 Å)).
No peak broadening, texture or thermal motion is included.

Largest 10 diffraction maxima, most intense first, 2θ from 10° to 90°:
h k l	2θ/deg	I/Imax
1 1 -2	15.58	100
1 1 2	19.05	63
1 3 3	33.67	61
0 0 4	24.00	59
0 2 1	17.45	59
0 2 5	34.51	49
1 1 -1	12.83	45
1 3 -3	30.75	45
2 0 -2	19.83	44
1 1 0	12.60	44

Structural model:
```
data_Na6Sn2S7
_space_group_name_H-M_alt 'C 1 2/c 1'
_space_group_IT_number 15
_space_group_name_Hall '-C 2yc'
_cell_length_a 9.5707
_cell_length_b 10.8181
_cell_length_c 15.3402
_cell_angle_alpha 90.00
_cell_angle_beta 105.04
_cell_angle_gamma 90.00
loop_
_atom_site_label
_atom_site_fract_x
_atom_site_fract_y
_atom_site_fract_z
Na1 0.0000 0.0000 0.0000
Na2 0.0000 0.0684 0.2500
Na3 0.0951 0.3563 0.5727
Na4 0.2328 0.2291 0.8636
Sn1 0.1594 0.4111 0.3626
S1 0.0000 0.4539 0.7500
S2 0.0411 0.2298 0.3964
S3 0.1241 0.1358 0.6812
S4 0.2047 0.4383 0.9831
```

Structure and simulated powder X-ray diffraction pattern of KRb2LuCl6 (a structure optimized by DFT (GGA-PBE); Cu Kα (λ = 1.5418 Å)).
No peak broadening, texture or thermal motion is included.

Largest 10 diffraction maxima, most intense first, 2θ from 10° to 90°:
h k l	2θ/deg	I/Imax
2 2 0	22.56	100
4 0 0	32.11	73
1 1 1	13.76	50
4 4 0	46.05	49
4 2 2	39.60	45
6 4 2	62.32	26
6 2 0	51.87	24
3 1 1	26.52	20
8 4 0	76.41	19
2 0 0	15.90	17

Structural model:
```
data_KRb2LuCl6
_space_group_name_H-M_alt 'F m -3 m'
_space_group_IT_number 225
_space_group_name_Hall '-F 4 2 3'
_cell_length_a 11.1493
_cell_length_b 11.1493
_cell_length_c 11.1493
_cell_angle_alpha 90.00
_cell_angle_beta 90.00
_cell_angle_gamma 90.00
loop_
_atom_site_label
_atom_site_fract_x
_atom_site_fract_y
_atom_site_fract_z
K1 0.0000 0.0000 0.0000
Rb1 0.2500 0.2500 0.2500
Lu1 0.0000 0.0000 0.5000
Cl1 0.0000 0.0000 0.2687
```